This entry pairs a crystal structure of DyAl7Cu5 with its computed XRD peak list. Radiation: Cu Ka. Structure: a crystal structure in Alexandria, relaxed with GGA-PBE.

Cell and atoms:
Cell: 6.6819 6.6819 6.6819 Å, 135.10 97.72 99.05°
Fractional coordinates of all 13 atoms:
Dy  0.0000  0.0000  0.0000
Al  0.1983  0.4912  0.7071
Al  0.2247  0.7247  0.5000
Al  0.3499  0.3499  0.0000
Al  0.3537  0.0061  0.3476
Al  0.6549  0.6549  0.0000
Al  0.6585  0.0061  0.6524
Al  0.7840  0.4912  0.2929
Cu  0.9997  0.4978  0.0048
Cu  0.9997  0.9950  0.5020
Cu  0.4930  0.4978  0.4980
Cu  0.4930  0.9950  0.9952
Cu  0.7718  0.2718  0.5000

The 12 most intense peaks (2θ from 10° to 90°), in order of rising 2θ:
2θ (°)	d_spacing	intensity
14.3	6.175	61
20.2	4.402	35
28.7	3.109	32
28.9	3.091	100
35.7	2.516	26
40.9	2.207	76
41.1	2.199	97
41.2	2.193	58
41.4	2.183	44
41.6	2.169	45
46.2	1.967	34
59.8	1.547	29